Structure and calculated X-ray powder pattern of Nd4V5Si4O22 (the PBE+U geometry in the Materials Project; Cu Kα (weighted mean of Kα1 and Kα2)).
Lines closer than 0.1° are merged.

Atomic structure:
```
data_Nd4V5Si4O22
_chemical_formula_sum 'Nd8 V10 Si8 O44'
_cell_length_a 13.507
_cell_length_b 5.700
_cell_length_c 11.153
_cell_angle_alpha 90.00
_cell_angle_beta 100.42
_cell_angle_gamma 90.00
_space_group_name_H-M_alt 'C 1 2/m 1'
_space_group_IT_number 12
_space_group_name_Hall '-C 2y'
loop_
_atom_site_label
_atom_site_type_symbol
_atom_site_fract_x
_atom_site_fract_y
_atom_site_fract_z
_atom_site_occupancy
Nd1 Nd 0.073 0.000 0.249 1
Nd2 Nd 0.144 0.500 0.756 1
V1 V 0.000 0.000 0.500 1
V2 V 0.000 0.500 0.000 1
V3 V 0.000 0.500 0.500 1
V4 V 0.250 0.250 0.500 1
Si1 Si 0.139 0.000 0.958 1
Si2 Si 0.203 0.500 0.228 1
O1 O 0.024 0.241 0.631 1
O2 O 0.071 0.236 0.911 1
O3 O 0.086 0.500 0.165 1
O4 O 0.142 0.000 0.473 1
O5 O 0.150 0.500 0.515 1
O6 O 0.185 0.000 0.101 1
O7 O 0.225 0.000 0.874 1
O8 O 0.228 0.262 0.311 1
```

Top 6 peaks for 10° ≤ 2θ ≤ 90°, in order of falling intensity:
| index | d (Å) | Rel. int. |
| --- | --- | --- |
| 3 1 1 | 3.202 | 1000 |
| 3 1 -2 | 3.160 | 742 |
| 3 1 -3 | 2.729 | 683 |
| 0 0 4 | 2.742 | 663 |
| 1 1 1 | 4.601 | 651 |
| 0 2 0 | 2.850 | 618 |

***

Structure and calculated X-ray powder pattern of Li2Ti3MnO8 (the PBE+U geometry in the Materials Project; Cu Kα (weighted mean of Kα1 and Kα2)).
Lines closer than 0.1° are merged.

Atomic structure:
```
data_Li2Ti3MnO8
_chemical_formula_sum 'Li8 Ti12 Mn4 O32'
_cell_length_a 8.527
_cell_length_b 8.527
_cell_length_c 8.527
_cell_angle_alpha 90.00
_cell_angle_beta 90.00
_cell_angle_gamma 90.00
_space_group_name_H-M_alt 'P 21 3'
_space_group_IT_number 198
_space_group_name_Hall 'P 2ac 2ab 3'
loop_
_atom_site_label
_atom_site_type_symbol
_atom_site_fract_x
_atom_site_fract_y
_atom_site_fract_z
_atom_site_occupancy
Li1 Li 0.126 0.126 0.126 1
Li2 Li 0.247 0.253 0.747 1
Ti1 Ti 0.117 0.378 0.371 1
Mn1 Mn 0.001 0.501 0.999 1
O1 O 0.103 0.871 0.108 1
O2 O 0.111 0.389 0.611 1
O3 O 0.124 0.853 0.643 1
O4 O 0.139 0.639 0.861 1
```

Top 6 peaks for 10° ≤ 2θ ≤ 90°, in order of falling intensity:
| index | d (Å) | Rel. int. |
| --- | --- | --- |
| 3 1 1 | 2.571 | 1000 |
| 4 4 0 | 1.507 | 555 |
| 1 1 1 | 4.923 | 463 |
| 5 1 1 | 1.641 | 422 |
| 4 0 0 | 2.132 | 418 |
| 2 1 0 | 3.813 | 240 |

***

Structure and calculated X-ray powder pattern of Sr2ZnWO6 (the PBE+U geometry in the Materials Project; Cu Kα (weighted mean of Kα1 and Kα2)).
Lines closer than 0.1° are merged.

Atomic structure:
```
data_Sr2ZnWO6
_chemical_formula_sum 'Sr8 Zn4 W4 O24'
_cell_length_a 8.071
_cell_length_b 8.071
_cell_length_c 8.071
_cell_angle_alpha 90.00
_cell_angle_beta 90.00
_cell_angle_gamma 90.00
_space_group_name_H-M_alt 'F m -3 m'
_space_group_IT_number 225
_space_group_name_Hall '-F 4 2 3'
loop_
_atom_site_label
_atom_site_type_symbol
_atom_site_fract_x
_atom_site_fract_y
_atom_site_fract_z
_atom_site_occupancy
Sr1 Sr 0.250 0.250 0.250 1
Zn1 Zn 0.000 0.000 0.000 1
W1 W 0.000 0.000 0.500 1
O1 O 0.000 0.000 0.259 1
```

Top 6 peaks for 10° ≤ 2θ ≤ 90°, in order of falling intensity:
| index | d (Å) | Rel. int. |
| --- | --- | --- |
| 2 2 0 | 2.854 | 1000 |
| 4 2 2 | 1.647 | 398 |
| 4 0 0 | 2.018 | 319 |
| 4 4 0 | 1.427 | 194 |
| 1 1 1 | 4.660 | 188 |
| 6 2 0 | 1.276 | 174 |

***

Structure and calculated X-ray powder pattern of MgMn2O4 (the PBE+U geometry in the Materials Project; Cu Kα (weighted mean of Kα1 and Kα2)).
Lines closer than 0.1° are merged.

Atomic structure:
```
data_MgMn2O4
_chemical_formula_sum 'Mg4 Mn8 O16'
_cell_length_a 5.154
_cell_length_b 10.317
_cell_length_c 6.026
_cell_angle_alpha 90.00
_cell_angle_beta 91.87
_cell_angle_gamma 90.00
_space_group_name_H-M_alt 'P 1 21/m 1'
_space_group_IT_number 11
_space_group_name_Hall '-P 2yb'
loop_
_atom_site_label
_atom_site_type_symbol
_atom_site_fract_x
_atom_site_fract_y
_atom_site_fract_z
_atom_site_occupancy
Mg1 Mg 0.014 0.250 0.241 1
Mg2 Mg 0.356 0.250 0.747 1
Mn1 Mn 0.012 0.516 0.252 1
Mn2 Mn 0.500 0.000 0.000 1
Mn3 Mn 0.500 0.000 0.500 1
O1 O 0.185 0.117 0.979 1
O2 O 0.191 0.113 0.479 1
O3 O 0.264 0.604 0.751 1
O4 O 0.357 0.601 0.246 1
```

Top 6 peaks for 10° ≤ 2θ ≤ 90°, in order of falling intensity:
| index | d (Å) | Rel. int. |
| --- | --- | --- |
| 0 2 0 | 5.158 | 1000 |
| 1 2 -2 | 2.348 | 261 |
| 2 4 0 | 1.823 | 257 |
| 1 2 2 | 2.296 | 229 |
| 1 4 2 | 1.818 | 208 |
| 2 2 0 | 2.304 | 200 |

***

Structure and calculated X-ray powder pattern of Na5NiSO2 (the PBE+U geometry in the Materials Project; Cu Kα (weighted mean of Kα1 and Kα2)).
Lines closer than 0.1° are merged.

Atomic structure:
```
data_Na5NiSO2
_chemical_formula_sum 'Na5 Ni1 S1 O2'
_cell_length_a 4.580
_cell_length_b 4.580
_cell_length_c 8.180
_cell_angle_alpha 90.00
_cell_angle_beta 90.00
_cell_angle_gamma 90.00
_space_group_name_H-M_alt 'P 4/m m m'
_space_group_IT_number 123
_space_group_name_Hall '-P 4 2'
loop_
_atom_site_label
_atom_site_type_symbol
_atom_site_fract_x
_atom_site_fract_y
_atom_site_fract_z
_atom_site_occupancy
Na1 Na 0.000 0.000 0.000 1
Na2 Na 0.000 0.500 0.241 1
Ni1 Ni 0.000 0.000 0.500 1
S1 S 0.500 0.500 0.000 1
O1 O 0.000 0.000 0.280 1
```

Top 6 peaks for 10° ≤ 2θ ≤ 90°, in order of falling intensity:
| index | d (Å) | Rel. int. |
| --- | --- | --- |
| 1 1 2 | 2.539 | 1000 |
| 2 0 0 | 2.290 | 654 |
| 1 0 1 | 3.996 | 638 |
| 1 0 0 | 4.580 | 538 |
| 0 0 4 | 2.046 | 321 |
| 2 0 4 | 1.525 | 308 |

***

Structure and calculated X-ray powder pattern of Zn2CrFe3O8 (the PBE+U geometry in the Materials Project; Cu Kα (weighted mean of Kα1 and Kα2)).
Lines closer than 0.1° are merged.

Atomic structure:
```
data_Zn2CrFe3O8
_chemical_formula_sum 'Zn6 Cr3 Fe9 O24'
_cell_length_a 6.0259
_cell_length_b 6.0259
_cell_length_c 14.8087
_cell_angle_alpha 90.00
_cell_angle_beta 90.00
_cell_angle_gamma 120.00
_space_group_name_H-M_alt 'R -3 m'
_space_group_IT_number 166
_space_group_name_Hall '-R 3 2"'
loop_
_atom_site_label
_atom_site_type_symbol
_atom_site_fract_x
_atom_site_fract_y
_atom_site_fract_z
_atom_site_occupancy
Zn1 Zn 0.0000 0.0000 0.1253 1
Cr1 Cr 0.0000 0.0000 0.5000 1
Fe1 Fe 0.0000 0.5000 0.0000 1
O1 O 0.0000 0.0000 0.2602 1
O2 O 0.0289 0.5145 0.2532 1
```

Top 6 peaks for 10° ≤ 2θ ≤ 90°, in order of falling intensity:
| index | d (Å) | Rel. int. |
| --- | --- | --- |
| 0 2 1 | 2.572 | 1000 |
| 1 0 4 | 3.016 | 364 |
| 0 3 3 | 1.641 | 267 |
| 2 0 8 | 1.510 | 218 |
| 2 2 0 | 1.506 | 216 |
| 0 2 4 | 2.133 | 136 |